(1)
Diffraction record for Ag2BrCl6. The powder diffractogram is computed, not measured: it uses a cell relaxed with PBE and Cu Ka.

Crystal structure
```
data_Ag2BrCl6
_chemical_formula_sum 'Ag8 Br4 Cl24'
_symmetry_space_group_name_H-M 'C 1 2/c 1'
_symmetry_Int_Tables_number 15
_cell_length_a 12.061
_cell_length_b 14.331
_cell_length_c 7.762
_cell_angle_alpha 90.00
_cell_angle_beta 94.09
_cell_angle_gamma 90.00
loop_
_symmetry_equiv_pos_as_xyz
'x,y,z'
'-x,-y,-z'
'-x,y,-z+1/2'
'x,-y,z+1/2'
'x+1/2,y+1/2,z'
'-x+1/2,-y+1/2,-z'
'-x+1/2,y+1/2,-z+1/2'
'x+1/2,-y+1/2,z+1/2'
loop_
_atom_site_label
_atom_site_type_symbol
_atom_site_fract_x
_atom_site_fract_y
_atom_site_fract_z
_atom_site_occupancy
Ag1 Ag 0.236 0.040 0.401 1
Br1 Br 0.000 0.374 0.750 1
Cl1 Cl 0.101 0.370 0.494 1
Cl2 Cl 0.137 0.043 0.673 1
Cl3 Cl 0.224 0.200 0.914 1
```

Peak list (10 most intense, 2θ from 15° to 90°, by angle)
two_theta, Rel. int., (hkl)
15.34, 31, 1 1 1
19.27, 42, 2 2 0
20.00, 38, 1 3 0
23.02, 50, 3 1 0
23.36, 100, 1 3 1
24.45, 36, 1 1 -2
25.44, 31, 1 1 2
29.01, 44, 2 4 0
31.61, 91, 3 1 -2
46.28, 44, 5 1 2


(2)
Diffraction record for AgBrCl2. The powder diffractogram is computed, not measured: it uses a cell relaxed with PBE and Cu Ka.

Crystal structure
```
data_AgBrCl2
_chemical_formula_sum 'Ag2 Br2 Cl4'
_symmetry_space_group_name_H-M 'C 1 2/m 1'
_symmetry_Int_Tables_number 12
_cell_length_a 7.382
_cell_length_b 4.116
_cell_length_c 7.609
_cell_angle_alpha 90.00
_cell_angle_beta 100.13
_cell_angle_gamma 90.00
loop_
_symmetry_equiv_pos_as_xyz
'x,y,z'
'-x,-y,-z'
'-x,y,-z'
'x,-y,z'
'x+1/2,y+1/2,z'
'-x+1/2,-y+1/2,-z'
'-x+1/2,y+1/2,-z'
'x+1/2,-y+1/2,z'
loop_
_atom_site_label
_atom_site_type_symbol
_atom_site_fract_x
_atom_site_fract_y
_atom_site_fract_z
_atom_site_occupancy
Ag1 Ag 0.000 0.000 0.000 1
Br1 Br 0.000 0.500 0.500 1
Cl1 Cl 0.130 0.500 0.817 1
```

Peak list (10 most intense, 2θ from 15° to 90°, by angle)
two_theta, Rel. int., (hkl)
23.76, 28, 0 0 2
24.50, 44, 2 0 0
26.64, 100, 1 1 -1
28.54, 26, 1 1 1
31.14, 14, 2 0 -2
37.39, 25, 2 0 2
42.29, 28, 1 1 -3
43.19, 34, 3 1 -1
43.99, 17, 0 2 0
46.08, 28, 1 1 3


(3)
Diffraction record for Ag4Br5Cl. The powder diffractogram is computed, not measured: it uses a cell relaxed with PBE and Cu Ka.

Crystal structure
```
data_Ag4Br5Cl
_chemical_formula_sum 'Ag8 Br10 Cl2'
_symmetry_space_group_name_H-M 'P m m n'
_symmetry_Int_Tables_number 59
_cell_length_a 8.085
_cell_length_b 11.056
_cell_length_c 6.642
_cell_angle_alpha 90.00
_cell_angle_beta 90.00
_cell_angle_gamma 90.00
loop_
_symmetry_equiv_pos_as_xyz
'x,y,z'
'-x,-y,-z'
'-x+1/2,-y+1/2,z'
'x+1/2,y+1/2,-z'
'x+1/2,-y,-z'
'-x+1/2,y,z'
'-x,y+1/2,-z'
'x,-y+1/2,z'
loop_
_atom_site_label
_atom_site_type_symbol
_atom_site_fract_x
_atom_site_fract_y
_atom_site_fract_z
_atom_site_occupancy
Ag1 Ag 0.008 0.250 0.019 1
Ag2 Ag 0.250 0.502 0.500 1
Br1 Br 0.001 0.078 0.729 1
Br2 Br 0.250 0.750 0.740 1
Cl1 Cl 0.250 0.250 0.255 1
```

Peak list (10 most intense, 2θ from 15° to 90°, by angle)
two_theta, Rel. int., (hkl)
20.91, 99, 0 2 1
25.80, 46, 2 0 1
27.05, 29, 2 1 1
27.68, 51, 0 3 1
38.68, 100, 2 2 2
41.86, 32, 2 4 1
44.84, 24, 4 0 0
46.78, 15, 2 0 3
49.97, 18, 4 2 1
53.52, 15, 4 3 1


(4)
Diffraction record for Ag2BrCl. The powder diffractogram is computed, not measured: it uses a cell relaxed with PBE and Cu Ka.

Crystal structure
```
data_Ag2BrCl
_chemical_formula_sum 'Ag8 Br4 Cl4'
_symmetry_space_group_name_H-M 'C 1 2 1'
_symmetry_Int_Tables_number 5
_cell_length_a 11.973
_cell_length_b 7.260
_cell_length_c 8.485
_cell_angle_alpha 90.00
_cell_angle_beta 134.87
_cell_angle_gamma 90.00
loop_
_symmetry_equiv_pos_as_xyz
'x,y,z'
'-x,y,-z'
'x+1/2,y+1/2,z'
'-x+1/2,y+1/2,-z'
loop_
_atom_site_label
_atom_site_type_symbol
_atom_site_fract_x
_atom_site_fract_y
_atom_site_fract_z
_atom_site_occupancy
Ag1 Ag 0.123 0.000 0.000 1
Ag2 Ag 0.152 0.533 0.303 1
Br1 Br 0.163 0.639 0.000 1
Cl1 Cl 0.155 0.173 0.309 1
```

Peak list (10 most intense, 2θ from 15° to 90°, by angle)
two_theta, Rel. int., (hkl)
20.94, 21, 2 0 0
24.52, 53, 0 2 0
26.49, 100, 1 1 -2
28.75, 22, 2 2 -1
33.41, 55, 4 0 -1
40.37, 26, 5 1 -3
41.88, 30, 4 2 -1
42.62, 31, 4 0 0
44.40, 78, 1 3 1
49.79, 20, 4 2 -4


(5)
Diffraction record for Ag2Br6Cl. The powder diffractogram is computed, not measured: it uses a cell relaxed with PBE and Cu Ka.

Crystal structure
```
data_Ag2Br6Cl
_chemical_formula_sum 'Ag4 Br12 Cl2'
_symmetry_space_group_name_H-M 'P -1'
_symmetry_Int_Tables_number 2
_cell_length_a 4.352
_cell_length_b 7.134
_cell_length_c 21.958
_cell_angle_alpha 88.74
_cell_angle_beta 84.57
_cell_angle_gamma 72.49
loop_
_symmetry_equiv_pos_as_xyz
'x,y,z'
'-x,-y,-z'
loop_
_atom_site_label
_atom_site_type_symbol
_atom_site_fract_x
_atom_site_fract_y
_atom_site_fract_z
_atom_site_occupancy
Ag1 Ag 0.099 0.460 0.216 1
Ag2 Ag 0.223 0.963 0.718 1
Br1 Br 0.003 0.156 0.965 1
Br2 Br 0.039 0.079 0.602 1
Br3 Br 0.058 0.274 0.325 1
Br4 Br 0.121 0.345 0.536 1
Br5 Br 0.279 0.576 0.101 1
Br6 Br 0.346 0.778 0.826 1
Cl1 Cl 0.361 0.253 0.751 1
```

Peak list (10 most intense, 2θ from 15° to 90°, by angle)
two_theta, Rel. int., (hkl)
17.90, 100, 0 1 3
21.54, 81, 1 1 1
29.04, 32, -1 1 1
29.20, 24, 1 2 2
31.44, 22, 0 1 -7
31.86, 34, -1 1 3
32.06, 23, 1 2 4
36.00, 34, 0 2 -6
39.30, 29, 0 1 -9
45.33, 29, 1 3 -5


(6)
Diffraction record for AgBr2Cl5. The powder diffractogram is computed, not measured: it uses a cell relaxed with PBE and Cu Ka.

Crystal structure
```
data_AgBr2Cl5
_chemical_formula_sum 'Ag1 Br2 Cl5'
_symmetry_space_group_name_H-M 'P 1'
_symmetry_Int_Tables_number 1
_cell_length_a 5.466
_cell_length_b 8.020
_cell_length_c 8.186
_cell_angle_alpha 62.14
_cell_angle_beta 81.87
_cell_angle_gamma 70.08
loop_
_symmetry_equiv_pos_as_xyz
'x,y,z'
loop_
_atom_site_label
_atom_site_type_symbol
_atom_site_fract_x
_atom_site_fract_y
_atom_site_fract_z
_atom_site_occupancy
Ag1 Ag 0.000 0.000 0.000 1
Br1 Br 0.465 0.449 0.188 1
Br2 Br 0.703 0.077 0.697 1
Cl1 Cl 0.065 0.651 0.257 1
Cl2 Cl 0.145 0.912 0.569 1
Cl3 Cl 0.319 0.693 0.833 1
Cl4 Cl 0.320 0.209 0.809 1
Cl5 Cl 0.883 0.239 0.145 1
```

Peak list (10 most intense, 2θ from 15° to 90°, by angle)
two_theta, Rel. int., (hkl)
18.14, 100, 1 1 0
21.71, 36, 0 1 -1
24.06, 37, 1 2 1
24.81, 32, -1 1 1
25.75, 39, 1 1 2
30.53, 29, 1 0 2
34.12, 25, 1 2 -1
35.25, 22, 1 2 3
36.21, 37, -1 2 2
45.69, 29, -1 3 1